For Na2SrVO4, DFT lattice parameters and positions (PBE+U) gives the calculated powder X-ray diffraction pattern in this record (λ = 1.5418 Å (Cu Kα)).

Peak list (10 most intense, 10° ≤ 2θ ≤ 80°, sorted by position)
22.05°, I = 35
24.62°, I = 12
31.38°, I = 26
33.29°, I = 100
37.40°, I = 12
40.29°, I = 12
44.97°, I = 28
57.09°, I = 36
60.66°, I = 22
75.48°, I = 7

Structure:
```
Na2SrVO4
1.0
-2.8505 2.8505 3.6154
2.8505 -2.8505 3.6154
2.8505 2.8505 -3.6154
Na Sr V O
2 1 1 4
Direct
0.2500 0.7500 0.5000 Na
0.7500 0.2500 0.5000 Na
0.0000 0.0000 0.0000 Sr
0.5000 0.5000 0.0000 V
0.1776 0.5769 0.0000 O
0.4231 0.4231 0.6007 O
0.5769 0.1776 0.0000 O
0.8224 0.8224 0.3993 O
```